The following is a computed powder diffractogram of BaNa2Tl10. It was derived from a structure optimized by DFT (GGA-PBE), using a wavelength of 1.5418 Å.
Peak positions follow from Bragg's law for the DFT cell and can differ from measured ones.

Atomic structure:
Lattice parameters (Å, degrees): 6.4622 15.4694 16.2349 90.00 90.00 90.00
Space group Fmmm (No. 69)
Unique sites:
1 Ba 0.0000 0.0000 0.0000 [4 per cell]
2 Na 0.2500 0.0000 0.2500 [8 per cell]
3 Tl 0.0000 0.1062 0.3909 [16 per cell]
4 Tl 0.0000 0.1774 0.1783 [16 per cell]
5 Tl 0.2500 0.2500 0.0000 [8 per cell]

Largest 12 diffraction maxima, most intense first, 2θ from 15° to 90°:
Position (°2θ)  I_rel
32.0  100
27.6  83
31.4  64
35.5  63
36.2  62
32.6  57
57.0  42
54.7  24
66.8  21
35.1  17
51.2  17
36.6  16



The following is a computed powder diffractogram of DyHoSiSe. It was derived from a structure optimized by DFT (GGA-PBE), using a wavelength of 1.5418 Å.
Peak positions follow from Bragg's law for the DFT cell and can differ from measured ones.

Atomic structure:
Lattice parameters (Å, degrees): 4.0909 4.0909 20.3387 90.00 90.00 120.00
Space group R3m (No. 160, hexagonal axes)
Unique sites:
1 Dy 0.0000 0.0000 0.0000 [3 per cell]
2 Ho 0.0000 0.0000 0.4907 [3 per cell]
3 Si 0.0000 0.0000 0.7457 [3 per cell]
4 Se 0.0000 0.0000 0.2449 [3 per cell]

Largest 12 diffraction maxima, most intense first, 2θ from 15° to 90°:
Position (°2θ)  I_rel
30.8  100
44.3  37
43.8  37
26.6  35
54.9  19
73.1  17
72.4  16
81.2  12
64.1  12
26.3  12
52.2  11
81.5  6



The following is a computed powder diffractogram of Ce2Th3Pb4. It was derived from a structure optimized by DFT (GGA-PBE), using a wavelength of 1.5418 Å.
Peak positions follow from Bragg's law for the DFT cell and can differ from measured ones.

Atomic structure:
Lattice parameters (Å, degrees): 8.7271 8.6460 8.4143 90.00 112.79 90.00
Space group P2_1/c (No. 14)
Unique sites:
1 Ce 0.1980 0.1751 0.0557 [4 per cell]
2 Th 0.2428 0.6706 0.2263 [4 per cell]
3 Th 0.5000 0.0000 0.5000 [2 per cell]
4 Pb 0.0836 0.5276 0.8232 [4 per cell]
5 Pb 0.4847 0.1359 0.8641 [4 per cell]

Largest 12 diffraction maxima, most intense first, 2θ from 15° to 90°:
Position (°2θ)  I_rel
29.2  100
31.0  86
33.7  81
29.7  61
32.4  53
30.4  51
33.2  48
33.5  43
27.9  36
33.4  31
30.5  29
27.0  29